No. 1
The following is a calculated X-ray powder pattern of BePdSe. It was derived from a crystal structure in Alexandria, relaxed with PBE, using Cu Kα, 1.54184 Å.

Atomic structure:
```
BePdSe
1.0
8.081 0.000 0.000
0.000 8.094 0.000
-1.797 0.000 3.369
Be Pd Se
4 4 4
Direct
0.000 0.117 0.000
0.000 0.883 0.500
0.500 0.383 0.500
0.500 0.617 0.000
0.184 0.120 0.683
0.184 0.880 0.183
0.684 0.380 0.183
0.684 0.620 0.683
0.199 0.334 0.198
0.199 0.666 0.698
0.699 0.166 0.698
0.699 0.834 0.198
```

The 10 most intense peaks (10 to 90 degrees two-theta), by intensity:
2theta, intensity
34.7, 100.0
25.0, 64.3
50.5, 35.9
16.6, 18.4
54.5, 14.6
47.6, 12.3
52.0, 10.5
44.8, 9.4
51.2, 9.3
48.6, 9.0



No. 2
The following is a calculated X-ray powder pattern of BeSiPd2. It was derived from a crystal structure in Alexandria, relaxed with PBE, using Cu Kα, 1.54184 Å.

Atomic structure:
```
BeSiPd2
1.0
3.716 0.000 0.000
-1.858 3.218 0.000
0.000 0.000 13.864
Be Si Pd
3 3 6
Direct
0.000 0.000 0.000
0.333 0.667 0.667
0.667 0.333 0.333
0.000 0.000 0.826
0.333 0.667 0.493
0.667 0.333 0.159
0.000 0.000 0.399
0.000 0.000 0.596
0.333 0.667 0.065
0.333 0.667 0.263
0.667 0.333 0.732
0.667 0.333 0.929
```

The 10 most intense peaks (10 to 90 degrees two-theta), by intensity:
2theta, intensity
28.5, 100.0
43.1, 74.2
38.2, 57.6
49.0, 54.7
67.3, 19.2
87.6, 19.1
64.3, 16.5
30.6, 14.1
81.1, 13.7
57.7, 13.5



No. 3
The following is a calculated X-ray powder pattern of Sr2BeSiPd6. It was derived from a crystal structure in Alexandria, relaxed with PBE, using Cu Kα, 1.54184 Å.

Atomic structure:
```
Sr2BeSiPd6
1.0
6.288 0.000 0.000
3.131 5.483 0.000
3.130 1.813 5.593
Sr Be Si Pd
2 1 1 6
Direct
0.222 0.222 0.335
0.778 0.778 0.665
0.000 0.000 0.000
0.500 0.500 0.500
0.243 0.244 0.822
0.244 0.688 0.824
0.312 0.757 0.176
0.688 0.243 0.824
0.756 0.312 0.176
0.757 0.756 0.178
```

The 10 most intense peaks (10 to 90 degrees two-theta), by intensity:
2theta, intensity
34.6, 100.0
39.4, 90.6
34.4, 50.4
31.3, 43.6
32.0, 23.4
15.8, 21.1
32.5, 13.6
41.1, 13.3
32.7, 13.0
52.9, 12.6



No. 4
The following is a calculated X-ray powder pattern of ThBeSiPd6. It was derived from a crystal structure in Alexandria, relaxed with PBE, using Cu Kα, 1.54184 Å.

Atomic structure:
```
ThBeSiPd6
1.0
-3.521 4.169 5.527
3.521 -4.169 5.527
3.521 4.169 -5.527
Th Be Si Pd
2 2 2 12
Direct
0.430 0.180 0.250
0.570 0.820 0.750
0.000 0.500 0.500
0.500 0.500 0.000
0.000 0.000 0.500
0.000 0.500 0.000
0.116 0.386 0.251
0.116 0.865 0.730
0.147 0.897 0.250
0.311 0.561 0.750
0.365 0.135 0.751
0.365 0.614 0.230
0.635 0.386 0.770
0.635 0.865 0.249
0.689 0.439 0.250
0.853 0.103 0.750
0.884 0.135 0.270
0.884 0.614 0.749
```

The 10 most intense peaks (10 to 90 degrees two-theta), by intensity:
2theta, intensity
33.3, 100.0
47.1, 35.3
36.6, 31.6
43.4, 26.1
34.9, 23.3
32.4, 20.4
28.7, 20.3
13.3, 18.3
27.3, 18.2
51.9, 15.3



No. 5
The following is a calculated X-ray powder pattern of SmBePd2. It was derived from a crystal structure in Alexandria, relaxed with PBE, using Cu Kα, 1.54184 Å.

Atomic structure:
```
SmBePd2
1.0
4.127 0.000 0.000
-2.063 3.574 0.000
0.000 0.000 14.893
Sm Be Pd
3 3 6
Direct
0.000 0.000 0.000
0.333 0.667 0.667
0.667 0.333 0.333
0.000 0.000 0.500
0.333 0.667 0.167
0.667 0.333 0.833
0.000 0.000 0.210
0.000 0.000 0.790
0.333 0.667 0.456
0.333 0.667 0.877
0.667 0.333 0.123
0.667 0.333 0.544
```

The 10 most intense peaks (10 to 90 degrees two-theta), by intensity:
2theta, intensity
39.4, 100.0
25.6, 98.8
34.8, 86.4
43.9, 83.4
60.4, 28.2
77.6, 26.8
73.3, 25.3
57.2, 20.4
74.8, 18.3
68.2, 17.2



No. 6
The following is a calculated X-ray powder pattern of SmBe2Pd5. It was derived from a crystal structure in Alexandria, relaxed with PBE, using Cu Kα, 1.54184 Å.

Atomic structure:
```
SmBe2Pd5
1.0
3.915 0.000 0.000
0.000 6.433 0.000
0.000 0.000 9.884
Sm Be Pd
2 4 10
Direct
0.000 0.000 0.000
0.500 0.500 0.500
0.000 0.500 0.224
0.000 0.500 0.776
0.500 0.000 0.276
0.500 0.000 0.724
0.000 0.210 0.351
0.000 0.210 0.649
0.000 0.500 0.000
0.000 0.790 0.351
0.000 0.790 0.649
0.500 0.000 0.500
0.500 0.290 0.149
0.500 0.290 0.851
0.500 0.710 0.149
0.500 0.710 0.851
```

The 10 most intense peaks (10 to 90 degrees two-theta), by intensity:
2theta, intensity
35.6, 100.0
37.3, 94.2
46.4, 62.5
33.2, 35.8
67.7, 22.8
77.8, 17.1
69.3, 14.4
58.2, 14.2
55.8, 10.9
79.9, 10.0